Record 1
Diffraction record for LiV2F7. The powder diffraction line list is theoretical, not measured: it uses the PBE+U geometry in the Materials Project and copper Kα.

Structure:
```
LiV2F7
1.0
7.8207 0.0000 0.0000
0.0000 7.1481 0.0000
-0.1527 0.0000 10.1828
Li V F
4 8 28
Direct
0.0000 0.0922 0.0000 Li
0.0000 0.9078 0.5000 Li
0.5244 0.3932 0.5043 Li
0.5244 0.6068 0.0043 Li
0.0922 0.3915 0.5570 V
0.0922 0.6085 0.0570 V
0.2980 0.1171 0.7409 V
0.2980 0.8829 0.2409 V
0.5772 0.1095 0.0695 V
0.5772 0.8905 0.5695 V
0.8139 0.3838 0.2316 V
0.8139 0.6162 0.7316 V
0.0089 0.3360 0.0929 F
0.0089 0.6640 0.5929 F
0.1051 0.0615 0.8380 F
0.1051 0.9385 0.3380 F
0.1417 0.1113 0.5762 F
0.1417 0.8887 0.0762 F
0.2437 0.3821 0.7189 F
0.2437 0.6179 0.2189 F
0.2948 0.4477 0.4698 F
0.2948 0.5523 0.9698 F
0.3905 0.1341 0.2015 F
0.3905 0.8659 0.7015 F
0.4316 0.1403 0.9129 F
0.4316 0.8597 0.4129 F
0.5043 0.1627 0.6120 F
0.5043 0.8373 0.1120 F
0.6325 0.3874 0.0838 F
0.6325 0.6126 0.5838 F
0.6401 0.4390 0.3484 F
0.6401 0.5610 0.8484 F
0.7580 0.1192 0.2142 F
0.7580 0.8808 0.7142 F
0.7657 0.0453 0.9665 F
0.7657 0.9547 0.4665 F
0.8894 0.3651 0.6740 F
0.8894 0.6349 0.1740 F
0.9709 0.3597 0.3894 F
0.9709 0.6403 0.8894 F
```

Largest 12 diffraction maxima, by angle, 2θ = 5–70°:
16.80°, rel. 50.7; 17.42°, rel. 30.1; 18.86°, rel. 100.0; 19.02°, rel. 17.0; 24.42°, rel. 64.8; 26.43°, rel. 32.3; 28.58°, rel. 28.5; 29.00°, rel. 21.0; 39.54°, rel. 14.1; 40.54°, rel. 30.7; 42.67°, rel. 31.1; 45.36°, rel. 19.5

Record 2
Diffraction record for Li12CrCo3P4C4O28. The powder diffraction line list is theoretical, not measured: it uses the PBE+U geometry in the Materials Project and copper Kα.

Structure:
```
Li12CrCo3P4C4O28
1.0
8.4921 0.0000 0.0000
0.0000 6.4562 0.0000
-0.8134 0.0000 9.9697
Li Cr Co P C O
12 1 3 4 4 28
Direct
0.0000 0.0000 0.0000 Li
0.0010 0.0000 0.4999 Li
0.1802 0.2273 0.2587 Li
0.1802 0.2285 0.7555 Li
0.1802 0.7715 0.7555 Li
0.1802 0.7727 0.2587 Li
0.6292 0.2716 0.5071 Li
0.6292 0.7284 0.5071 Li
0.6299 0.2721 0.0070 Li
0.6299 0.7279 0.0070 Li
0.8053 0.5000 0.7630 Li
0.8082 0.5000 0.2654 Li
0.2391 0.5000 0.9900 Cr
0.2372 0.5000 0.4867 Co
0.5725 0.0000 0.7765 Co
0.5735 0.0000 0.2773 Co
0.3180 0.0000 0.5219 P
0.3186 0.0000 0.0228 P
0.4914 0.5000 0.7415 P
0.4945 0.5000 0.2431 P
0.8679 0.0000 0.2330 C
0.8679 0.0000 0.7333 C
0.9360 0.5000 0.0297 C
0.9424 0.5000 0.5312 C
0.0139 0.0000 0.2018 O
0.0138 0.0000 0.7026 O
0.0531 0.5000 0.1236 O
0.0579 0.5000 0.6263 O
0.2143 0.1862 0.9696 O
0.2140 0.1871 0.4698 O
0.2140 0.8129 0.4698 O
0.2143 0.8138 0.9696 O
0.3255 0.5000 0.2920 O
0.3247 0.5000 0.7929 O
0.3375 0.0000 0.1791 O
0.3365 0.0000 0.6786 O
0.4721 0.5000 0.5850 O
0.4834 0.5000 0.0875 O
0.4844 0.0000 0.4702 O
0.4843 0.0000 0.9699 O
0.5947 0.3127 0.7939 O
0.5947 0.6873 0.7939 O
0.5958 0.3121 0.2974 O
0.5958 0.6879 0.2974 O
0.7525 0.0000 0.1383 O
0.7529 0.0000 0.6383 O
0.7923 0.5000 0.0645 O
0.7965 0.5000 0.5617 O
0.8314 0.0000 0.8564 O
0.8324 0.0000 0.3562 O
0.9665 0.5000 0.9055 O
0.9790 0.5000 0.4082 O
```

Largest 12 diffraction maxima, by angle, 2θ = 5–70°:
10.45°, rel. 84.1; 17.27°, rel. 25.4; 19.92°, rel. 39.1; 21.41°, rel. 51.1; 22.53°, rel. 17.8; 25.51°, rel. 22.8; 26.50°, rel. 33.9; 27.63°, rel. 100.0; 36.03°, rel. 19.2; 36.75°, rel. 27.1; 40.49°, rel. 23.4; 51.67°, rel. 19.4

Record 3
Diffraction record for Na3W4O12. The powder diffraction line list is theoretical, not measured: it uses the PBE+U geometry in the Materials Project and copper Kα.

Structure:
```
Na3W4O12
1.0
-3.9281 3.9356 3.9372
3.9281 -3.9356 3.9372
3.9281 3.9356 -3.9372
Na W O
3 4 12
Direct
0.0000 0.0000 0.0000 Na
0.5000 0.0000 0.5000 Na
0.5000 0.5000 0.0000 Na
0.0000 0.0000 0.5000 W
0.0000 0.5000 0.0000 W
0.5000 0.0000 0.0000 W
0.5000 0.5000 0.5000 W
0.0174 0.7509 0.2665 O
0.2507 0.0221 0.7715 O
0.2507 0.4792 0.2285 O
0.2549 0.2457 0.5006 O
0.2549 0.7543 0.0092 O
0.4845 0.7509 0.7335 O
0.5155 0.2491 0.2665 O
0.7451 0.2457 0.9908 O
0.7451 0.7543 0.4994 O
0.7493 0.5208 0.7715 O
0.7493 0.9779 0.2285 O
0.9826 0.2491 0.7335 O
```

Largest 10 diffraction maxima, by angle, 2θ = 5–70°:
15.93°, rel. 0.7; 22.60°, rel. 100.0; 32.18°, rel. 84.7; 39.69°, rel. 12.9; 46.12°, rel. 18.8; 46.22°, rel. 9.2; 51.97°, rel. 35.1; 52.04°, rel. 7.2; 57.38°, rel. 34.6; 67.33°, rel. 16.8